For MgCo4O8, a DFT-relaxed cell (PBE+U, the Materials Project) gives the simulated powder X-ray diffraction pattern in this record (Cu Kα X-rays).
Peak positions follow from Bragg's law for the DFT cell and can differ from measured ones.

Structure:
```
data_MgCo4O8
_chemical_formula_sum 'Mg3 Co12 O24'
_cell_length_a 5.7230
_cell_length_b 5.7230
_cell_length_c 14.5959
_cell_angle_alpha 90.00
_cell_angle_beta 90.00
_cell_angle_gamma 120.00
_symmetry_space_group_name_H-M 'R 3 m'
_symmetry_Int_Tables_number 160
_symmetry_space_group_name_Hall 'R 3 -2"'
loop_
_atom_site_label
_atom_site_type_symbol
_atom_site_fract_x
_atom_site_fract_y
_atom_site_fract_z
Mg1 Mg 0.0000 0.0000 0.0000
Co1 Co 0.0000 0.0000 0.3758
Co2 Co 0.0065 0.5032 0.5007
O1 O 0.0000 0.0000 0.2383
O2 O 0.0000 0.0000 0.7654
O3 O 0.0280 0.5140 0.7610
O4 O 0.1829 0.3658 0.5670
```

Main lines, by angle (2θ from 10° to 80°):
18.23 deg, I 100, (0 0 3); 18.91 deg, I 52, (1 0 1); 21.67 deg, I 50, (0 1 2); 30.42 deg, I 35, (1 0 4); 35.70 deg, I 33, (0 1 5); 36.43 deg, I 75, (1 1 3); 36.79 deg, I 75, (0 2 1); 44.18 deg, I 78, (0 2 4); 57.79 deg, I 34, (0 2 7); 58.55 deg, I 23, (1 2 5); 63.30 deg, I 44, (2 0 8); 65.21 deg, I 44, (2 2 0)